Starting from DFT lattice parameters and positions (PBE), the powder X-ray diffraction pattern of Ga3Ni5Ge2 was simulated for Cu Kα.
Lines closer than 0.1° are merged.

The 12 most intense peaks (2θ from 10° to 90°), in order of falling intensity:
1.979 Å, 2θ = 45.8°, rel. 100; 1.956 Å, 2θ = 46.4°, rel. 31; 2.028 Å, 2θ = 44.7°, rel. 30; 1.134 Å, 2θ = 85.7°, rel. 22; 2.023 Å, 2θ = 44.8°, rel. 18; 1.406 Å, 2θ = 66.5°, rel. 14; 2.630 Å, 2θ = 34.1°, rel. 13; 2.092 Å, 2θ = 43.2°, rel. 11; 2.812 Å, 2θ = 31.8°, rel. 8; 1.393 Å, 2θ = 67.2°, rel. 7; 1.254 Å, 2θ = 75.9°, rel. 7; 1.429 Å, 2θ = 65.3°, rel. 6

Atomic structure:
```
data_Ga3Ni5Ge2
_chemical_formula_sum 'Ga12 Ni20 Ge8'
_symmetry_space_group_name_H-M 'C m c m'
_symmetry_Int_Tables_number 63
_symmetry_space_group_name_Hall '-C 2c 2'
_cell_length_a 3.9120
_cell_length_b 12.1374
_cell_length_c 11.1434
_cell_angle_alpha 90.00
_cell_angle_beta 90.00
_cell_angle_gamma 90.00
loop_
_atom_site_label
_atom_site_type_symbol
_atom_site_fract_x
_atom_site_fract_y
_atom_site_fract_z
_atom_site_occupancy
Ga1 Ga 0.0000 0.0000 0.0000 1
Ga2 Ga 0.0000 0.3313 0.0233 1
Ni1 Ni 0.0000 0.1595 0.1319 1
Ni2 Ni 0.0000 0.3398 0.2500 1
Ni3 Ni 0.0000 0.4792 0.6318 1
Ge1 Ge 0.0000 0.0369 0.7500 1
Ge2 Ge 0.0000 0.2894 0.7500 1
```



Starting from DFT lattice parameters and positions (PBE), the powder X-ray diffraction pattern of LuNbCo2Bi2 was simulated for Cu Kα.
Lines closer than 0.1° are merged.

The 12 most intense peaks (2θ from 10° to 90°), in order of falling intensity:
2.195 Å, 2θ = 41.1°, rel. 100; 3.103 Å, 2θ = 28.8°, rel. 76; 1.268 Å, 2θ = 74.9°, rel. 26; 1.388 Å, 2θ = 67.5°, rel. 24; 2.190 Å, 2θ = 41.2°, rel. 20; 1.552 Å, 2θ = 59.6°, rel. 20; 3.583 Å, 2θ = 24.8°, rel. 17; 1.265 Å, 2θ = 75.1°, rel. 13; 1.790 Å, 2θ = 51.0°, rel. 11; 1.794 Å, 2θ = 50.9°, rel. 11; 1.097 Å, 2θ = 89.2°, rel. 8; 1.873 Å, 2θ = 48.6°, rel. 6

Atomic structure:
```
data_LuNbCo2Bi2
_chemical_formula_sum 'Lu2 Nb2 Co4 Bi4'
_symmetry_space_group_name_H-M 'P m n 21'
_symmetry_Int_Tables_number 31
_symmetry_space_group_name_Hall 'P 2ac -2'
_cell_length_a 4.3946
_cell_length_b 8.7596
_cell_length_c 6.2120
_cell_angle_alpha 90.00
_cell_angle_beta 90.00
_cell_angle_gamma 90.00
loop_
_atom_site_label
_atom_site_type_symbol
_atom_site_fract_x
_atom_site_fract_y
_atom_site_fract_z
_atom_site_occupancy
Lu1 Lu 0.0000 0.1258 0.0000 1
Nb1 Nb 0.0000 0.6240 0.0227 1
Co1 Co 0.0000 0.3880 0.2772 1
Co2 Co 0.0000 0.8533 0.2395 1
Bi1 Bi 0.0000 0.1260 0.4975 1
Bi2 Bi 0.0000 0.6242 0.5269 1
```



Starting from DFT lattice parameters and positions (PBE), the powder X-ray diffraction pattern of Gd5Os2Br3O10 was simulated for Cu Kα.
Lines closer than 0.1° are merged.

The 12 most intense peaks (2θ from 10° to 90°), in order of falling intensity:
2.755 Å, 2θ = 32.5°, rel. 100; 3.208 Å, 2θ = 27.8°, rel. 59; 2.767 Å, 2θ = 32.3°, rel. 52; 2.877 Å, 2θ = 31.1°, rel. 43; 1.964 Å, 2θ = 46.2°, rel. 36; 2.788 Å, 2θ = 32.1°, rel. 31; 1.630 Å, 2θ = 56.4°, rel. 25; 1.581 Å, 2θ = 58.4°, rel. 20; 1.595 Å, 2θ = 57.8°, rel. 20; 1.865 Å, 2θ = 48.8°, rel. 19; 3.581 Å, 2θ = 24.9°, rel. 16; 1.230 Å, 2θ = 77.6°, rel. 14

Atomic structure:
```
data_Gd5Os2Br3O10
_chemical_formula_sum 'Gd10 Os4 Br6 O20'
_symmetry_space_group_name_H-M 'C 1 2/m 1'
_symmetry_Int_Tables_number 12
_symmetry_space_group_name_Hall '-C 2y'
_cell_length_a 12.1129
_cell_length_b 5.5350
_cell_length_c 9.5362
_cell_angle_alpha 90.00
_cell_angle_beta 102.80
_cell_angle_gamma 90.00
loop_
_atom_site_label
_atom_site_type_symbol
_atom_site_fract_x
_atom_site_fract_y
_atom_site_fract_z
_atom_site_occupancy
Gd1 Gd 0.0000 0.0000 0.0000 1
Gd2 Gd 0.1354 0.5000 0.2427 1
Gd3 Gd 0.1861 0.5000 0.8904 1
Os1 Os 0.0224 0.0000 0.6380 1
Br1 Br 0.0000 0.5000 0.5000 1
Br2 Br 0.2008 0.0000 0.3863 1
O1 O 0.0207 0.2440 0.7885 1
O2 O 0.1580 0.2544 0.0662 1
O3 O 0.1761 0.0000 0.6785 1
```



Starting from DFT lattice parameters and positions (PBE), the powder X-ray diffraction pattern of Ho4In20Ni11 was simulated for Cu Kα.
Lines closer than 0.1° are merged.

The 12 most intense peaks (2θ from 10° to 90°), in order of falling intensity:
2.553 Å, 2θ = 35.1°, rel. 100; 2.163 Å, 2θ = 41.8°, rel. 79; 2.508 Å, 2θ = 35.8°, rel. 46; 2.607 Å, 2θ = 34.4°, rel. 37; 2.538 Å, 2θ = 35.4°, rel. 36; 2.129 Å, 2θ = 42.5°, rel. 29; 2.846 Å, 2θ = 31.4°, rel. 26; 2.623 Å, 2θ = 34.2°, rel. 22; 2.433 Å, 2θ = 37.0°, rel. 18; 1.371 Å, 2θ = 68.4°, rel. 17; 2.085 Å, 2θ = 43.4°, rel. 16; 2.042 Å, 2θ = 44.4°, rel. 14

Atomic structure:
```
data_Ho4In20Ni11
_chemical_formula_sum 'Ho8 In40 Ni22'
_symmetry_space_group_name_H-M 'C 1 2/m 1'
_symmetry_Int_Tables_number 12
_symmetry_space_group_name_Hall '-C 2y'
_cell_length_a 22.6195
_cell_length_b 4.3248
_cell_length_c 16.6814
_cell_angle_alpha 90.00
_cell_angle_beta 124.59
_cell_angle_gamma 90.00
loop_
_atom_site_label
_atom_site_type_symbol
_atom_site_fract_x
_atom_site_fract_y
_atom_site_fract_z
_atom_site_occupancy
Ho1 Ho 0.1194 0.0000 0.3310 1
Ho2 Ho 0.2289 0.0000 0.8263 1
In1 In 0.0106 0.0000 0.0953 1
In2 In 0.0412 0.5000 0.3775 1
In3 In 0.0633 0.0000 0.7902 1
In4 In 0.1017 0.5000 0.9906 1
In5 In 0.1114 0.5000 0.6911 1
In6 In 0.1153 0.0000 0.5517 1
In7 In 0.1285 0.5000 0.1956 1
In8 In 0.2022 0.0000 0.0026 1
In9 In 0.2030 0.5000 0.5021 1
In10 In 0.2472 0.0000 0.2909 1
Ni1 Ni 0.0000 0.5000 0.5000 1
Ni2 Ni 0.0074 0.5000 0.1952 1
Ni3 Ni 0.0224 0.0000 0.6000 1
Ni4 Ni 0.1367 0.0000 0.1025 1
Ni5 Ni 0.1530 0.5000 0.8782 1
Ni6 Ni 0.2459 0.5000 0.3826 1
```



Starting from DFT lattice parameters and positions (PBE), the powder X-ray diffraction pattern of Al2Pd5W was simulated for Cu Kα.
Lines closer than 0.1° are merged.

The 12 most intense peaks (2θ from 10° to 90°), in order of falling intensity:
2.244 Å, 2θ = 40.2°, rel. 100; 2.017 Å, 2θ = 45.0°, rel. 37; 1.203 Å, 2θ = 79.7°, rel. 27; 7.269 Å, 2θ = 12.2°, rel. 27; 2.655 Å, 2θ = 33.8°, rel. 21; 1.350 Å, 2θ = 69.7°, rel. 18; 1.817 Å, 2θ = 50.2°, rel. 12; 1.426 Å, 2θ = 65.5°, rel. 12; 1.122 Å, 2θ = 86.8°, rel. 10; 1.115 Å, 2θ = 87.5°, rel. 9; 1.550 Å, 2θ = 59.7°, rel. 7; 2.423 Å, 2θ = 37.1°, rel. 7

Atomic structure:
```
data_Al2Pd5W
_chemical_formula_sum 'Al4 Pd10 W2'
_symmetry_space_group_name_H-M 'I 4/m m m'
_symmetry_Int_Tables_number 139
_symmetry_space_group_name_Hall '-I 4 2'
_cell_length_a 4.0330
_cell_length_b 4.0330
_cell_length_c 14.5372
_cell_angle_alpha 90.00
_cell_angle_beta 90.00
_cell_angle_gamma 90.00
loop_
_atom_site_label
_atom_site_type_symbol
_atom_site_fract_x
_atom_site_fract_y
_atom_site_fract_z
_atom_site_occupancy
Al1 Al 0.0000 0.0000 0.2465 1
Pd1 Pd 0.0000 0.0000 0.0000 1
Pd2 Pd 0.0000 0.5000 0.1330 1
W1 W 0.0000 0.0000 0.5000 1
```



Starting from DFT lattice parameters and positions (PBE), the powder X-ray diffraction pattern of Th3Si4Pt2 was simulated for Cu Kα.
Lines closer than 0.1° are merged.

The 12 most intense peaks (2θ from 10° to 90°), in order of falling intensity:
2.747 Å, 2θ = 32.6°, rel. 100; 2.725 Å, 2θ = 32.9°, rel. 56; 2.083 Å, 2θ = 43.4°, rel. 37; 1.476 Å, 2θ = 63.0°, rel. 25; 1.670 Å, 2θ = 55.0°, rel. 24; 3.643 Å, 2θ = 24.4°, rel. 22; 2.113 Å, 2θ = 42.8°, rel. 20; 2.092 Å, 2θ = 43.3°, rel. 19; 1.487 Å, 2θ = 62.5°, rel. 13; 1.301 Å, 2θ = 72.7°, rel. 12; 1.293 Å, 2θ = 73.2°, rel. 12; 1.313 Å, 2θ = 71.9°, rel. 11

Atomic structure:
```
data_Th3Si4Pt2
_chemical_formula_sum 'Th6 Si8 Pt4'
_symmetry_space_group_name_H-M 'C 1 2/m 1'
_symmetry_Int_Tables_number 12
_symmetry_space_group_name_Hall '-C 2y'
_cell_length_a 11.0357
_cell_length_b 4.2266
_cell_length_c 8.3071
_cell_angle_alpha 90.00
_cell_angle_beta 100.46
_cell_angle_gamma 90.00
loop_
_atom_site_label
_atom_site_type_symbol
_atom_site_fract_x
_atom_site_fract_y
_atom_site_fract_z
_atom_site_occupancy
Th1 Th 0.0000 0.0000 0.0000 1
Th2 Th 0.1648 0.5000 0.6690 1
Si1 Si 0.0549 0.0000 0.3892 1
Si2 Si 0.2233 0.5000 0.0570 1
Pt1 Pt 0.1120 0.5000 0.2822 1
```



Starting from DFT lattice parameters and positions (PBE), the powder X-ray diffraction pattern of Dy3Y2Er2Ni2Te2 was simulated for Cu Kα.
Lines closer than 0.1° are merged.

The 12 most intense peaks (2θ from 10° to 90°), in order of falling intensity:
2.636 Å, 2θ = 34.0°, rel. 100; 2.601 Å, 2θ = 34.5°, rel. 85; 2.722 Å, 2θ = 32.9°, rel. 76; 2.947 Å, 2θ = 30.3°, rel. 48; 1.572 Å, 2θ = 58.7°, rel. 35; 1.926 Å, 2θ = 47.2°, rel. 29; 2.970 Å, 2θ = 30.1°, rel. 28; 3.573 Å, 2θ = 24.9°, rel. 22; 2.345 Å, 2θ = 38.4°, rel. 21; 2.458 Å, 2θ = 36.6°, rel. 19; 2.288 Å, 2θ = 39.4°, rel. 17; 3.128 Å, 2θ = 28.5°, rel. 16

Atomic structure:
```
data_Dy3Y2Er2Ni2Te2
_chemical_formula_sum 'Dy6 Y4 Er4 Ni4 Te4'
_symmetry_space_group_name_H-M 'I m m 2'
_symmetry_Int_Tables_number 44
_symmetry_space_group_name_Hall 'I 2 -2'
_cell_length_a 3.8513
_cell_length_b 15.6185
_cell_length_c 9.5789
_cell_angle_alpha 90.00
_cell_angle_beta 90.00
_cell_angle_gamma 90.00
loop_
_atom_site_label
_atom_site_type_symbol
_atom_site_fract_x
_atom_site_fract_y
_atom_site_fract_z
_atom_site_occupancy
Dy1 Dy 0.0000 0.0000 0.0000 1
Dy2 Dy 0.0000 0.3155 0.6194 1
Y1 Y 0.0000 0.3537 0.2679 1
Er1 Er 0.0000 0.1316 0.4179 1
Ni1 Ni 0.0000 0.2387 0.9280 1
Te1 Te 0.0000 0.0000 0.6639 1
Te2 Te 0.0000 0.5000 0.7643 1
```



Starting from DFT lattice parameters and positions (PBE), the powder X-ray diffraction pattern of PrAl2PdAu was simulated for Cu Kα.
Lines closer than 0.1° are merged.

The 12 most intense peaks (2θ from 10° to 90°), in order of falling intensity:
2.676 Å, 2θ = 33.5°, rel. 100; 2.215 Å, 2θ = 40.7°, rel. 54; 2.997 Å, 2θ = 29.8°, rel. 54; 2.713 Å, 2θ = 33.0°, rel. 42; 1.352 Å, 2θ = 69.6°, rel. 24; 1.716 Å, 2θ = 53.4°, rel. 22; 1.566 Å, 2θ = 59.0°, rel. 18; 3.433 Å, 2θ = 26.0°, rel. 18; 1.505 Å, 2θ = 61.6°, rel. 17; 1.989 Å, 2θ = 45.6°, rel. 15; 1.868 Å, 2θ = 48.8°, rel. 14; 1.861 Å, 2θ = 48.9°, rel. 14

Atomic structure:
```
data_PrAl2PdAu
_chemical_formula_sum 'Pr2 Al4 Pd2 Au2'
_symmetry_space_group_name_H-M 'P 4/n m m'
_symmetry_Int_Tables_number 129
_cell_length_a 4.4294
_cell_length_b 4.4294
_cell_length_c 10.2976
_cell_angle_alpha 90.00
_cell_angle_beta 90.00
_cell_angle_gamma 90.00
loop_
_symmetry_equiv_pos_as_xyz
'x,y,z'
'-x,-y,-z'
'-y+1/2,x,z'
'y+1/2,-x,-z'
'-x+1/2,-y+1/2,z'
'x+1/2,y+1/2,-z'
'y,-x+1/2,z'
'-y,x+1/2,-z'
'x+1/2,-y,-z'
'-x+1/2,y,z'
'-y,-x,-z'
'y,x,z'
'-x,y+1/2,-z'
'x,-y+1/2,z'
'y+1/2,x+1/2,-z'
'-y+1/2,-x+1/2,z'
loop_
_atom_site_label
_atom_site_type_symbol
_atom_site_fract_x
_atom_site_fract_y
_atom_site_fract_z
_atom_site_occupancy
Pr1 Pr 0.2500 0.2500 0.2473 1
Al1 Al 0.2500 0.2500 0.6374 1
Al2 Al 0.2500 0.7500 0.0000 1
Pd1 Pd 0.2500 0.2500 0.8770 1
Au1 Au 0.2500 0.7500 0.5000 1
```



Starting from DFT lattice parameters and positions (PBE), the powder X-ray diffraction pattern of Hg2P was simulated for Cu Kα.
Lines closer than 0.1° are merged.

The 12 most intense peaks (2θ from 10° to 90°), in order of falling intensity:
6.898 Å, 2θ = 12.8°, rel. 100; 3.449 Å, 2θ = 25.8°, rel. 65; 3.602 Å, 2θ = 24.7°, rel. 42; 2.741 Å, 2θ = 32.7°, rel. 33; 1.801 Å, 2θ = 50.7°, rel. 32; 2.112 Å, 2θ = 42.8°, rel. 30; 2.987 Å, 2θ = 29.9°, rel. 29; 2.019 Å, 2θ = 44.9°, rel. 28; 2.299 Å, 2θ = 39.2°, rel. 18; 1.673 Å, 2θ = 54.9°, rel. 15; 1.370 Å, 2θ = 68.5°, rel. 13; 1.555 Å, 2θ = 59.4°, rel. 12

Atomic structure:
Lattice parameters (Å, degrees): 11.9473 11.9473 11.9473 90.00 90.00 90.00
Space group Fd-3m (No. 227, origin choice 2)
One atom of each set of equivalent atoms:
Hg 0.0000 0.0000 0.0000 [16 per cell]
P 0.1250 0.1250 0.1250 [8 per cell]



Starting from DFT lattice parameters and positions (PBE), the powder X-ray diffraction pattern of ZrSn was simulated for Cu Kα.
Lines closer than 0.1° are merged.

The 12 most intense peaks (2θ from 10° to 90°), in order of falling intensity:
2.393 Å, 2θ = 37.6°, rel. 100; 2.773 Å, 2θ = 32.3°, rel. 77; 1.517 Å, 2θ = 61.1°, rel. 49; 1.961 Å, 2θ = 46.3°, rel. 28; 1.326 Å, 2θ = 71.1°, rel. 15; 1.240 Å, 2θ = 76.9°, rel. 13; 1.200 Å, 2θ = 80.0°, rel. 11; 1.196 Å, 2θ = 80.2°, rel. 11; 1.387 Å, 2θ = 67.6°, rel. 9; 1.510 Å, 2θ = 61.4°, rel. 6; 3.289 Å, 2θ = 27.1°, rel. 3; 1.684 Å, 2θ = 54.5°, rel. 1

Atomic structure:
```
data_ZrSn
_chemical_formula_sum 'Zr4 Sn4'
_symmetry_space_group_name_H-M 'P b c m'
_symmetry_Int_Tables_number 57
_symmetry_space_group_name_Hall '-P 2c 2b'
_cell_length_a 6.0390
_cell_length_b 5.5486
_cell_length_c 5.5447
_cell_angle_alpha 90.00
_cell_angle_beta 90.00
_cell_angle_gamma 90.00
loop_
_atom_site_label
_atom_site_type_symbol
_atom_site_fract_x
_atom_site_fract_y
_atom_site_fract_z
_atom_site_occupancy
Zr1 Zr 0.1280 0.0019 0.2500 1
Sn1 Sn 0.3602 0.5024 0.2500 1
```



Starting from DFT lattice parameters and positions (PBE), the powder X-ray diffraction pattern of LaNdSm2Se3O4 was simulated for Cu Kα.
Lines closer than 0.1° are merged.

The 12 most intense peaks (2θ from 10° to 90°), in order of falling intensity:
2.925 Å, 2θ = 30.6°, rel. 100; 2.821 Å, 2θ = 31.7°, rel. 56; 3.518 Å, 2θ = 25.3°, rel. 54; 2.558 Å, 2θ = 35.1°, rel. 30; 1.995 Å, 2θ = 45.5°, rel. 27; 1.925 Å, 2θ = 47.2°, rel. 23; 1.573 Å, 2θ = 58.7°, rel. 18; 1.705 Å, 2θ = 53.8°, rel. 17; 1.554 Å, 2θ = 59.5°, rel. 15; 1.735 Å, 2θ = 52.8°, rel. 15; 2.151 Å, 2θ = 42.0°, rel. 14; 2.098 Å, 2θ = 43.1°, rel. 12

Atomic structure:
```
data_LaNdSm2Se3O4
_chemical_formula_sum 'La2 Nd2 Sm4 Se6 O8'
_symmetry_space_group_name_H-M 'A m m 2'
_symmetry_Int_Tables_number 38
_symmetry_space_group_name_Hall 'A 2 -2'
_cell_length_a 8.3933
_cell_length_b 3.9886
_cell_length_c 12.9049
_cell_angle_alpha 90.00
_cell_angle_beta 90.00
_cell_angle_gamma 90.00
loop_
_atom_site_label
_atom_site_type_symbol
_atom_site_fract_x
_atom_site_fract_y
_atom_site_fract_z
_atom_site_occupancy
La1 La 0.0000 0.0000 0.0000 1
Nd1 Nd 0.5000 0.0000 0.0190 1
Sm1 Sm 0.2381 0.0000 0.6849 1
Se1 Se 0.0000 0.0000 0.3099 1
Se2 Se 0.3488 0.0000 0.3568 1
O1 O 0.0000 0.0000 0.5917 1
O2 O 0.2458 0.0000 0.0922 1
O3 O 0.5000 0.0000 0.6191 1
```



Starting from DFT lattice parameters and positions (PBE), the powder X-ray diffraction pattern of Sm2YFe2B2N3 was simulated for Cu Kα.
Lines closer than 0.1° are merged.

The 12 most intense peaks (2θ from 10° to 90°), in order of falling intensity:
3.121 Å, 2θ = 28.6°, rel. 100; 2.667 Å, 2θ = 33.6°, rel. 90; 2.233 Å, 2θ = 40.4°, rel. 73; 2.565 Å, 2θ = 35.0°, rel. 67; 2.480 Å, 2θ = 36.2°, rel. 47; 1.754 Å, 2θ = 52.2°, rel. 46; 1.448 Å, 2θ = 64.3°, rel. 43; 2.411 Å, 2θ = 37.3°, rel. 39; 1.465 Å, 2θ = 63.5°, rel. 30; 1.783 Å, 2θ = 51.2°, rel. 27; 1.529 Å, 2θ = 60.6°, rel. 26; 3.458 Å, 2θ = 25.8°, rel. 25

Atomic structure:
```
data_Sm2YFe2B2N3
_chemical_formula_sum 'Sm4 Y2 Fe4 B4 N6'
_symmetry_space_group_name_H-M 'I 4/m m m'
_symmetry_Int_Tables_number 139
_symmetry_space_group_name_Hall '-I 4 2'
_cell_length_a 3.5078
_cell_length_b 3.5078
_cell_length_c 20.5208
_cell_angle_alpha 90.00
_cell_angle_beta 90.00
_cell_angle_gamma 90.00
loop_
_atom_site_label
_atom_site_type_symbol
_atom_site_fract_x
_atom_site_fract_y
_atom_site_fract_z
_atom_site_occupancy
Sm1 Sm 0.0000 0.0000 0.1232 1
Y1 Y 0.0000 0.0000 0.5000 1
Fe1 Fe 0.0000 0.5000 0.2500 1
B1 B 0.0000 0.0000 0.3119 1
N1 N 0.0000 0.0000 0.0000 1
N2 N 0.0000 0.0000 0.3842 1
```